# Ac3Cu2Pd4Pb2
Simulated X-ray powder pattern, Cu Kα (λ = 1.5418 Å). Input: a structure optimized by DFT (GGA-PBE).
Peak positions follow from Bragg's law for the DFT cell and can differ from measured ones.

Most intense lines, 2θ from 10° to 80°, low angle first:
2θ/deg	Rel. int.	index
23.14	26	1 0 1
25.25	21	0 1 2
28.45	34	1 0 3
32.44	100	0 1 4
39.30	79	1 1 0
51.84	27	2 0 4
58.20	16	1 1 7
63.15	12	1 1 8
66.94	26	1 2 4
71.24	14	3 0 0

Structure:
a b c (Å): 4.585 4.585 15.358
angles (deg): 90.00 90.00 120.00
Element x y z (fractional)
1 Ac 0.000 0.000 0.000
2 Ac 0.000 0.000 0.259
3 Ac 0.000 0.000 0.741
4 Cu 0.333 0.667 0.134
5 Cu 0.667 0.333 0.866
6 Pd 0.333 0.667 0.372
7 Pd 0.333 0.667 0.871
8 Pd 0.667 0.333 0.129
9 Pd 0.667 0.333 0.628
10 Pb 0.333 0.667 0.565
11 Pb 0.667 0.333 0.435